Starting from the PBE geometry in the Materials Project, the powder X-ray diffraction pattern of SN was simulated for Cu Kα (λ = 1.5418 Å).
Neutral-atom scattering factors, no anomalous dispersion.

Top 11 peaks for 2θ from 15° to 90°, low angle first:
| index | 2θ/deg | d_spacing | Rel. int. |
| --- | --- | --- | --- |
| 0 0 1 | 24.50 | 3.634 | 54 |
| 1 0 1 | 34.87 | 2.573 | 100 |
| 2 0 0 | 50.09 | 1.821 | 30 |
| 0 0 2 | 50.21 | 1.817 | 1 |
| 2 0 1 | 56.57 | 1.627 | 26 |
| 1 1 2 | 62.51 | 1.486 | 40 |
| 2 2 0 | 73.56 | 1.288 | 9 |
| 2 1 2 | 78.91 | 1.213 | 14 |
| 0 0 3 | 79.05 | 1.211 | 1 |
| 3 0 1 | 84.04 | 1.152 | 9 |
| 1 1 3 | 89.39 | 1.096 | 10 |

Structure:
```
SN
1.0
3.642 0.000 0.000
0.000 3.642 0.000
0.000 0.000 3.634
S N
2 2
Direct
0.250 0.250 0.178
0.750 0.750 0.822
0.250 0.750 0.000
0.750 0.250 0.000
```

=====

Starting from the PBE geometry in the Materials Project, the powder X-ray diffraction pattern of S3N2 was simulated for Cu Kα (λ = 1.5418 Å).
Neutral-atom scattering factors, no anomalous dispersion.

Top 12 peaks for 2θ from 15° to 90°, low angle first:
| index | 2θ/deg | d_spacing | Rel. int. |
| --- | --- | --- | --- |
| 0 5 0 | 18.16 | 4.884 | 40 |
| 2 1 0 | 20.66 | 4.300 | 38 |
| 1 0 1 | 23.08 | 3.854 | 67 |
| 1 1 1 | 23.36 | 3.808 | 100 |
| 1 2 1 | 24.19 | 3.679 | 78 |
| 1 3 1 | 25.56 | 3.485 | 40 |
| 2 2 1 | 30.07 | 2.972 | 38 |
| 2 3 1 | 31.19 | 2.867 | 66 |
| 2 4 1 | 32.70 | 2.738 | 94 |
| 2 5 1 | 34.56 | 2.595 | 90 |
| 2 6 1 | 36.73 | 2.447 | 85 |
| 2 7 1 | 39.13 | 2.302 | 56 |

Structure:
```
S3N2
1.0
8.736 0.000 0.000
0.000 24.420 0.000
0.000 0.000 4.298
S N
6 4
Direct
0.000 0.044 0.000
0.227 0.958 0.928
0.273 0.042 0.428
0.500 0.956 0.500
0.727 0.042 0.428
0.773 0.958 0.928
0.157 0.010 0.134
0.343 0.990 0.634
0.657 0.990 0.634
0.843 0.010 0.134
```

=====

Starting from the PBE geometry in the Materials Project, the powder X-ray diffraction pattern of SN was simulated for Cu Kα (λ = 1.5418 Å).
Neutral-atom scattering factors, no anomalous dispersion.

Top 12 peaks for 2θ from 15° to 90°, low angle first:
| index | 2θ/deg | d_spacing | Rel. int. |
| --- | --- | --- | --- |
| 1 0 1 | 16.51 | 5.369 | 33 |
| 1 1 1 | 17.83 | 4.974 | 21 |
| 2 1 0 | 22.98 | 3.871 | 100 |
| 0 0 2 | 24.83 | 3.586 | 36 |
| 2 1 1 | 26.16 | 3.407 | 72 |
| 0 4 0 | 26.96 | 3.307 | 37 |
| 0 2 2 | 28.31 | 3.153 | 9 |
| 2 3 0 | 29.97 | 2.982 | 17 |
| 1 4 1 | 31.78 | 2.816 | 9 |
| 2 1 2 | 34.08 | 2.631 | 22 |
| 4 0 1 | 46.63 | 1.948 | 17 |
| 2 5 2 | 48.30 | 1.884 | 10 |

Structure:
```
SN
1.0
8.096 0.000 0.000
0.000 13.228 0.000
0.000 0.000 7.172
S N
16 16
Direct
0.087 0.134 0.190
0.087 0.366 0.190
0.183 0.134 0.775
0.183 0.366 0.775
0.317 0.634 0.275
0.317 0.866 0.275
0.413 0.634 0.690
0.413 0.866 0.690
0.587 0.134 0.310
0.587 0.366 0.310
0.683 0.134 0.725
0.683 0.366 0.725
0.817 0.634 0.225
0.817 0.866 0.225
0.913 0.634 0.810
0.913 0.866 0.810
0.054 0.250 0.243
0.135 0.102 0.982
0.135 0.398 0.982
0.193 0.250 0.715
0.307 0.750 0.215
0.365 0.602 0.482
0.365 0.898 0.482
0.446 0.750 0.743
0.554 0.250 0.257
0.635 0.102 0.518
0.635 0.398 0.518
0.693 0.250 0.785
0.807 0.750 0.285
0.865 0.602 0.018
0.865 0.898 0.018
0.946 0.750 0.757
```

=====

Starting from the PBE geometry in the Materials Project, the powder X-ray diffraction pattern of SN was simulated for Cu Kα (λ = 1.5418 Å).
Neutral-atom scattering factors, no anomalous dispersion.

Top 12 peaks for 2θ from 15° to 90°, low angle first:
| index | 2θ/deg | d_spacing | Rel. int. |
| --- | --- | --- | --- |
| 0 1 3 | 15.48 | 5.724 | 38 |
| 0 0 6 | 18.22 | 4.868 | 44 |
| 0 1 5 | 19.71 | 4.505 | 58 |
| 0 1 6 | 22.16 | 4.011 | 52 |
| 0 2 0 | 25.17 | 3.538 | 37 |
| 1 1 0 | 26.19 | 3.402 | 100 |
| 1 0 -5 | 27.19 | 3.280 | 71 |
| 1 0 5 | 27.99 | 3.187 | 73 |
| 0 2 5 | 29.52 | 3.026 | 69 |
| 0 0 10 | 30.61 | 2.921 | 53 |
| 1 2 0 | 34.29 | 2.615 | 29 |
| 1 1 -10 | 40.15 | 2.246 | 60 |

Structure:
```
SN
1.0
3.884 0.000 0.000
0.000 7.076 0.000
-0.892 0.000 29.210
S N
18 18
Direct
0.076 0.012 0.192
0.087 0.000 0.587
0.164 0.906 0.827
0.175 0.961 0.988
0.184 0.035 0.382
0.316 0.056 0.914
0.357 0.178 0.309
0.358 0.065 0.697
0.383 0.116 0.513
0.617 0.616 0.487
0.642 0.565 0.303
0.643 0.678 0.691
0.684 0.556 0.086
0.816 0.535 0.618
0.825 0.461 0.012
0.836 0.406 0.173
0.913 0.500 0.413
0.924 0.512 0.808
0.081 0.256 0.197
0.115 0.905 0.882
0.126 0.336 0.008
0.129 0.419 0.625
0.167 0.420 0.840
0.209 0.366 0.419
0.321 0.746 0.478
0.331 0.635 0.278
0.336 0.819 0.681
0.664 0.319 0.319
0.669 0.135 0.722
0.679 0.246 0.522
0.791 0.866 0.581
0.833 0.920 0.160
0.871 0.919 0.375
0.874 0.836 0.992
0.885 0.405 0.118
0.919 0.756 0.803
```

=====

Starting from the PBE geometry in the Materials Project, the powder X-ray diffraction pattern of SN was simulated for Cu Kα (λ = 1.5418 Å).
Neutral-atom scattering factors, no anomalous dispersion.

Top 12 peaks for 2θ from 15° to 90°, low angle first:
| index | 2θ/deg | d_spacing | Rel. int. |
| --- | --- | --- | --- |
| 0 0 2 | 19.76 | 4.493 | 13 |
| 0 1 1 | 20.23 | 4.390 | 72 |
| 0 1 2 | 26.60 | 3.351 | 97 |
| 1 1 0 | 33.55 | 2.671 | 46 |
| 1 0 -2 | 34.29 | 2.615 | 88 |
| 0 1 3 | 34.84 | 2.575 | 46 |
| 1 0 2 | 35.25 | 2.546 | 100 |
| 0 2 0 | 35.69 | 2.516 | 17 |
| 0 0 4 | 40.14 | 2.246 | 45 |
| 1 1 -4 | 52.60 | 1.740 | 14 |
| 2 0 0 | 58.57 | 1.576 | 13 |
| 0 3 2 | 58.76 | 1.571 | 12 |

Structure:
```
SN
1.0
3.153 0.000 0.000
0.000 5.032 0.000
-0.253 0.000 8.985
S N
4 4
Direct
0.218 0.197 0.368
0.218 0.303 0.868
0.782 0.697 0.132
0.782 0.803 0.632
0.227 0.597 0.846
0.227 0.903 0.346
0.773 0.097 0.654
0.773 0.403 0.154
```

=====

Starting from the PBE geometry in the Materials Project, the powder X-ray diffraction pattern of S2N was simulated for Cu Kα (λ = 1.5418 Å).
Neutral-atom scattering factors, no anomalous dispersion.

Top 12 peaks for 2θ from 15° to 90°, low angle first:
| index | 2θ/deg | d_spacing | Rel. int. |
| --- | --- | --- | --- |
| 1 0 1 | 22.23 | 4.000 | 9 |
| 1 1 1 | 23.47 | 3.790 | 100 |
| 2 2 1 | 29.93 | 2.985 | 23 |
| 4 0 0 | 30.12 | 2.967 | 21 |
| 4 1 0 | 31.07 | 2.879 | 12 |
| 3 1 1 | 31.82 | 2.813 | 7 |
| 3 2 1 | 34.47 | 2.602 | 5 |
| 5 0 1 | 43.68 | 2.072 | 9 |
| 5 1 1 | 44.38 | 2.041 | 15 |
| 3 1 2 | 49.30 | 1.849 | 9 |
| 3 3 2 | 54.22 | 1.692 | 7 |
| 5 5 1 | 59.19 | 1.561 | 7 |

Structure:
```
S2N
1.0
11.868 0.000 0.000
0.000 11.868 0.000
0.000 0.000 4.248
S N
16 8
Direct
0.118 0.118 0.298
0.151 0.654 0.000
0.154 0.349 0.500
0.181 0.819 0.862
0.319 0.319 0.362
0.346 0.849 0.000
0.349 0.154 0.500
0.382 0.618 0.798
0.618 0.382 0.798
0.651 0.846 0.500
0.654 0.151 0.000
0.681 0.681 0.362
0.819 0.181 0.862
0.846 0.651 0.500
0.849 0.346 0.000
0.882 0.882 0.298
0.079 0.244 0.349
0.244 0.079 0.349
0.256 0.579 0.849
0.421 0.744 0.849
0.579 0.256 0.849
0.744 0.421 0.849
0.756 0.921 0.349
0.921 0.756 0.349
```

=====

Starting from the PBE geometry in the Materials Project, the powder X-ray diffraction pattern of SN was simulated for Cu Kα (λ = 1.5418 Å).
Neutral-atom scattering factors, no anomalous dispersion.

Top 12 peaks for 2θ from 15° to 90°, low angle first:
| index | 2θ/deg | d_spacing | Rel. int. |
| --- | --- | --- | --- |
| 1 0 1 | 17.07 | 5.195 | 27 |
| 1 0 2 | 18.00 | 4.927 | 30 |
| 0 1 1 | 18.10 | 4.900 | 33 |
| 0 1 2 | 18.94 | 4.685 | 65 |
| 1 0 -5 | 23.15 | 3.842 | 93 |
| 1 0 5 | 23.37 | 3.807 | 100 |
| 0 1 5 | 24.05 | 3.701 | 26 |
| 1 1 -1 | 24.76 | 3.595 | 20 |
| 0 0 8 | 25.75 | 3.459 | 24 |
| 1 1 4 | 27.85 | 3.203 | 23 |
| 1 1 6 | 31.49 | 2.841 | 43 |
| 1 1 7 | 33.64 | 2.664 | 33 |

Structure:
```
SN
1.0
5.292 0.000 0.000
0.000 4.979 0.000
-0.259 0.000 27.667
S N
18 18
Direct
0.001 0.000 0.334
0.065 0.440 0.117
0.092 0.980 0.725
0.155 0.100 0.495
0.389 0.683 0.146
0.419 0.024 0.974
0.440 0.349 0.607
0.468 0.256 0.413
0.477 0.708 0.796
0.523 0.208 0.204
0.532 0.756 0.587
0.560 0.849 0.393
0.581 0.524 0.026
0.611 0.183 0.854
0.845 0.600 0.505
0.908 0.480 0.275
0.935 0.940 0.883
0.999 0.500 0.666
0.030 0.343 0.524
0.109 0.148 0.122
0.143 0.437 0.239
0.144 0.767 0.683
0.167 0.326 0.632
0.201 0.239 0.439
0.291 0.229 0.243
0.432 0.941 0.834
0.446 0.710 0.985
0.554 0.210 0.015
0.568 0.441 0.166
0.709 0.729 0.757
0.799 0.739 0.561
0.833 0.826 0.368
0.856 0.267 0.317
0.857 0.937 0.761
0.891 0.648 0.878
0.970 0.843 0.476
```

=====

Starting from the PBE geometry in the Materials Project, the powder X-ray diffraction pattern of S3N was simulated for Cu Kα (λ = 1.5418 Å).
Neutral-atom scattering factors, no anomalous dispersion.

Top 12 peaks for 2θ from 15° to 90°, low angle first:
| index | 2θ/deg | d_spacing | Rel. int. |
| --- | --- | --- | --- |
| 1 0 1 | 15.31 | 5.787 | 30 |
| 1 1 1 | 16.71 | 5.304 | 51 |
| 2 1 0 | 21.69 | 4.097 | 100 |
| 2 1 1 | 24.54 | 3.628 | 58 |
| 1 3 1 | 25.35 | 3.513 | 47 |
| 1 1 2 | 25.93 | 3.436 | 26 |
| 0 2 2 | 26.48 | 3.366 | 12 |
| 0 4 0 | 26.89 | 3.316 | 58 |
| 2 0 2 | 30.90 | 2.894 | 21 |
| 1 4 1 | 31.10 | 2.876 | 12 |
| 2 1 2 | 31.65 | 2.827 | 21 |
| 4 1 1 | 44.16 | 2.051 | 13 |

Structure:
```
S3N
1.0
8.615 0.000 0.000
0.000 13.263 0.000
0.000 0.000 7.813
S N
24 8
Direct
0.043 0.137 0.168
0.043 0.363 0.168
0.142 0.137 0.741
0.142 0.363 0.741
0.220 0.110 0.990
0.220 0.390 0.990
0.280 0.610 0.490
0.280 0.890 0.490
0.358 0.637 0.241
0.358 0.863 0.241
0.457 0.637 0.668
0.457 0.863 0.668
0.543 0.137 0.332
0.543 0.363 0.332
0.642 0.137 0.759
0.642 0.363 0.759
0.720 0.110 0.510
0.720 0.390 0.510
0.780 0.610 0.010
0.780 0.890 0.010
0.858 0.637 0.259
0.858 0.863 0.259
0.957 0.637 0.832
0.957 0.863 0.832
0.044 0.250 0.245
0.174 0.250 0.673
0.326 0.750 0.173
0.456 0.750 0.745
0.544 0.250 0.255
0.674 0.250 0.827
0.826 0.750 0.327
0.956 0.750 0.755
```